Diffraction record for Rb2SnMoO6. The X-ray powder pattern is computed, not measured: it uses a structure optimized by DFT (GGA+U) and Cu Kα X-rays.
Intensities are scaled so that the largest is 100.

Peak list (6 most intense, 2θ from 15° to 90°, in order of rising 2θ)
27.72 deg, d = 3.218 Å, intensity 100
30.18 deg, d = 2.962 Å, intensity 21
33.05 deg, d = 2.711 Å, intensity 28
45.35 deg, d = 2.000 Å, intensity 22
52.10 deg, d = 1.755 Å, intensity 19
55.83 deg, d = 1.647 Å, intensity 28

Structure:
```
data_Rb2SnMoO6
_cell_length_a 5.4214
_cell_length_b 5.4214
_cell_length_c 11.8469
_cell_angle_alpha 90.00
_cell_angle_beta 90.00
_cell_angle_gamma 90.00
_space_group_name_H-M_alt 'I 4 m m'
_space_group_IT_number 107
_space_group_name_Hall 'I 4 -2'
loop_
_atom_site_label
_atom_site_type_symbol
_atom_site_fract_x
_atom_site_fract_y
_atom_site_fract_z
Rb1 Rb 0.0000 0.5000 0.0000
Sn1 Sn 0.0000 0.0000 0.2482
Mo1 Mo 0.0000 0.0000 0.7648
O1 O 0.0000 0.0000 0.0854
O2 O 0.0000 0.0000 0.6164
O3 O 0.2428 0.2428 0.8060
```